Computed X-ray diffraction stick pattern
Compound: K2BaGeF8
Radiation: a wavelength of 1.5418 Å
Structure: a DFT-relaxed cell (GGA-PBE, Alexandria)
Neutral-atom scattering factors, no anomalous dispersion.

Peak list (10 most intense, 15 to 90 degrees two-theta, in order of falling intensity)
h k l	2theta	I/Imax
0 2 1	27.25	100
1 0 1	25.77	74
1 0 -1	23.34	70
1 2 -2	41.47	62
1 2 0	30.11	33
1 2 2	44.43	30
0 2 0	22.72	24
2 0 0	39.58	22
2 2 -1	47.36	22
1 0 0	19.49	19

Structural model:
```
data_K2BaGeF8
_chemical_formula_sum 'K2 Ba1 Ge1 F8'
_space_group_name_H-M_alt 'P 1 2/m 1'
_space_group_IT_number 10
_cell_length_a 4.5773
_cell_length_b 7.8278
_cell_length_c 6.0002
_cell_angle_alpha 90.00
_cell_angle_beta 95.78
_cell_angle_gamma 90.00
loop_
_space_group_symop_operation_xyz
'x,y,z'
'-x,-y,-z'
'-x,y,-z'
'x,-y,z'
loop_
_atom_site_label
_atom_site_fract_x
_atom_site_fract_y
_atom_site_fract_z
K1 0.0000 0.2333 0.0000
Ba1 0.5000 0.5000 0.5000
Ge1 0.5000 0.0000 0.5000
F1 0.0115 0.5000 0.7436
F2 0.1580 0.0000 0.3218
F3 0.3837 0.1737 0.6834
```